[1]
Calculated X-ray powder pattern of Cs3Sm2CdSe6 for a wavelength of 1.5418 Å, from a crystal structure in Alexandria, relaxed with GGA-PBE.

Structure:
a b c (Å): 7.481 7.481 8.766
angles (deg): 98.15 98.15 119.96
Atoms (fractional coordinates):
Cs 0.000 0.000 0.000
Cs 0.334 0.666 0.000
Cs 0.666 0.334 0.000
Sm 0.167 0.833 0.500
Sm 0.833 0.167 0.500
Cd 0.500 0.500 0.500
Se 0.105 0.437 0.312
Se 0.230 0.230 0.688
Se 0.437 0.105 0.312
Se 0.563 0.895 0.688
Se 0.770 0.770 0.312
Se 0.895 0.563 0.688

The 10 most intense peaks (15° ≤ 2θ ≤ 90°), low angle first:
21.14 deg, d = 4.203 Å, I = 9.2
24.82 deg, d = 3.587 Å, I = 10.1
27.73 deg, d = 3.218 Å, I = 100.0
37.30 deg, d = 2.411 Å, I = 33.2
41.82 deg, d = 2.160 Å, I = 36.0
43.26 deg, d = 2.091 Å, I = 10.8
50.94 deg, d = 1.793 Å, I = 12.1
57.27 deg, d = 1.609 Å, I = 9.4
61.57 deg, d = 1.506 Å, I = 9.1
67.93 deg, d = 1.380 Å, I = 15.9

---

[2]
Calculated X-ray powder pattern of Cs2CdSnSe4 for a wavelength of 1.5418 Å, from a crystal structure in Alexandria, relaxed with GGA-PBE.

Structure:
a b c (Å): 14.871 13.279 8.196
angles (deg): 84.11 62.65 33.24
Atoms (fractional coordinates):
Cs 0.056 0.056 0.694
Cs 0.306 0.306 0.944
Cs 0.694 0.694 0.056
Cs 0.944 0.944 0.306
Cd 0.125 0.125 0.125
Cd 0.875 0.875 0.875
Sn 0.375 0.375 0.375
Sn 0.625 0.625 0.625
Se 0.013 0.345 0.436
Se 0.294 0.564 0.655
Se 0.345 0.013 0.706
Se 0.436 0.706 0.013
Se 0.564 0.294 0.987
Se 0.655 0.987 0.294
Se 0.706 0.436 0.345
Se 0.987 0.655 0.564

The 10 most intense peaks (15° ≤ 2θ ≤ 90°), low angle first:
22.50 deg, d = 3.951 Å, I = 22.0
23.94 deg, d = 3.718 Å, I = 69.9
24.57 deg, d = 3.623 Å, I = 100.0
28.28 deg, d = 3.156 Å, I = 72.9
29.26 deg, d = 3.052 Å, I = 38.6
34.02 deg, d = 2.635 Å, I = 59.7
41.92 deg, d = 2.155 Å, I = 52.9
44.46 deg, d = 2.038 Å, I = 30.6
45.36 deg, d = 1.999 Å, I = 41.2
60.73 deg, d = 1.525 Å, I = 28.1

---

[3]
Calculated X-ray powder pattern of CsSrCdSe2 for a wavelength of 1.5418 Å, from a crystal structure in Alexandria, relaxed with GGA-PBE.

Structure:
a b c (Å): 8.419 5.802 8.659
angles (deg): 90.00 101.33 90.00
Atoms (fractional coordinates):
Cs 0.000 0.177 0.250
Cs 0.000 0.823 0.750
Sr 0.500 0.492 0.750
Sr 0.500 0.508 0.250
Cd 0.500 0.000 0.000
Cd 0.500 0.000 0.500
Se 0.269 0.326 0.958
Se 0.269 0.674 0.458
Se 0.731 0.326 0.542
Se 0.731 0.674 0.042

The 10 most intense peaks (15° ≤ 2θ ≤ 90°), low angle first:
21.56 deg, d = 4.121 Å, I = 76.3
22.47 deg, d = 3.957 Å, I = 100.0
26.53 deg, d = 3.360 Å, I = 68.8
26.91 deg, d = 3.314 Å, I = 30.0
29.78 deg, d = 3.000 Å, I = 60.0
32.72 deg, d = 2.737 Å, I = 40.8
38.58 deg, d = 2.334 Å, I = 35.4
43.87 deg, d = 2.064 Å, I = 27.4
45.43 deg, d = 1.996 Å, I = 35.6
51.94 deg, d = 1.760 Å, I = 40.8

---

[4]
Calculated X-ray powder pattern of CsTbCdSe3 for a wavelength of 1.5418 Å, from a crystal structure in Alexandria, relaxed with GGA-PBE.

Structure:
a b c (Å): 9.588 4.320 10.634
angles (deg): 90.00 110.89 90.00
Atoms (fractional coordinates):
Cs 0.222 0.250 0.243
Cs 0.778 0.750 0.757
Tb 0.331 0.750 0.868
Tb 0.669 0.250 0.132
Cd 0.084 0.250 0.614
Cd 0.916 0.750 0.386
Se 0.123 0.250 0.870
Se 0.217 0.750 0.552
Se 0.475 0.750 0.150
Se 0.525 0.250 0.850
Se 0.783 0.250 0.448
Se 0.877 0.750 0.130

The 10 most intense peaks (15° ≤ 2θ ≤ 90°), low angle first:
21.46 deg, d = 4.141 Å, I = 22.9
26.87 deg, d = 3.318 Å, I = 46.1
27.86 deg, d = 3.202 Å, I = 100.0
28.71 deg, d = 3.109 Å, I = 64.5
31.98 deg, d = 2.799 Å, I = 46.8
32.68 deg, d = 2.740 Å, I = 30.7
40.49 deg, d = 2.228 Å, I = 42.7
41.82 deg, d = 2.160 Å, I = 38.3
43.52 deg, d = 2.079 Å, I = 23.1
45.76 deg, d = 1.983 Å, I = 35.1

---

[5]
Calculated X-ray powder pattern of Cs2Cd2Te2Se for a wavelength of 1.5418 Å, from a crystal structure in Alexandria, relaxed with GGA-PBE.

Structure:
a b c (Å): 15.384 4.739 9.286
angles (deg): 90.00 122.31 90.00
Atoms (fractional coordinates):
Cs 0.060 0.000 0.322
Cs 0.440 0.500 0.678
Cs 0.560 0.500 0.322
Cs 0.940 0.000 0.678
Cd 0.191 0.500 0.071
Cd 0.309 0.000 0.929
Cd 0.691 0.000 0.071
Cd 0.809 0.500 0.929
Te 0.190 0.500 0.750
Te 0.310 0.000 0.250
Te 0.690 0.000 0.750
Te 0.810 0.500 0.250
Se 0.000 0.500 0.000
Se 0.500 0.000 0.000

The 10 most intense peaks (15° ≤ 2θ ≤ 90°), low angle first:
23.36 deg, d = 3.807 Å, I = 54.4
24.73 deg, d = 3.600 Å, I = 100.0
27.41 deg, d = 3.254 Å, I = 64.3
27.90 deg, d = 3.198 Å, I = 66.9
28.20 deg, d = 3.165 Å, I = 36.8
29.20 deg, d = 3.058 Å, I = 35.8
37.98 deg, d = 2.369 Å, I = 45.5
39.53 deg, d = 2.280 Å, I = 46.0
43.20 deg, d = 2.094 Å, I = 33.3
46.34 deg, d = 1.959 Å, I = 40.3

---

[6]
Calculated X-ray powder pattern of CsSm2CdTe4 for a wavelength of 1.5418 Å, from a crystal structure in Alexandria, relaxed with GGA-PBE.

Structure:
a b c (Å): 8.330 8.330 16.174
angles (deg): 90.00 90.00 148.04
Atoms (fractional coordinates):
Cs 0.121 0.879 0.750
Cs 0.879 0.121 0.250
Sm 0.379 0.621 0.554
Sm 0.379 0.621 0.946
Sm 0.621 0.379 0.054
Sm 0.621 0.379 0.446
Cd 0.167 0.833 0.250
Cd 0.833 0.167 0.750
Te 0.000 0.000 0.000
Te 0.000 0.000 0.500
Te 0.257 0.743 0.101
Te 0.257 0.743 0.399
Te 0.438 0.562 0.750
Te 0.562 0.438 0.250
Te 0.743 0.257 0.601
Te 0.743 0.257 0.899

The 10 most intense peaks (15° ≤ 2θ ≤ 90°), low angle first:
21.98 deg, d = 4.044 Å, I = 19.5
24.66 deg, d = 3.609 Å, I = 32.1
26.20 deg, d = 3.402 Å, I = 81.5
27.92 deg, d = 3.196 Å, I = 100.0
29.79 deg, d = 2.999 Å, I = 18.6
37.60 deg, d = 2.392 Å, I = 22.2
37.98 deg, d = 2.369 Å, I = 28.4
38.12 deg, d = 2.361 Å, I = 41.2
39.28 deg, d = 2.293 Å, I = 37.8
52.37 deg, d = 1.747 Å, I = 19.1

---

[7]
Calculated X-ray powder pattern of CsCdSn2 for a wavelength of 1.5418 Å, from a crystal structure in Alexandria, relaxed with GGA-PBE.

Structure:
a b c (Å): 5.921 5.921 20.398
angles (deg): 90.00 90.00 90.00
Atoms (fractional coordinates):
Cs 0.000 0.250 0.375
Cs 0.000 0.750 0.625
Cs 0.500 0.250 0.125
Cs 0.500 0.750 0.875
Cd 0.000 0.250 0.875
Cd 0.000 0.750 0.125
Cd 0.500 0.250 0.625
Cd 0.500 0.750 0.375
Sn 0.000 0.000 0.000
Sn 0.000 0.500 0.000
Sn 0.250 0.250 0.750
Sn 0.250 0.750 0.250
Sn 0.500 0.000 0.500
Sn 0.500 0.500 0.500
Sn 0.750 0.250 0.750
Sn 0.750 0.750 0.250

The 10 most intense peaks (15° ≤ 2θ ≤ 90°), low angle first:
15.58 deg, d = 5.686 Å, I = 48.8
19.88 deg, d = 4.465 Å, I = 40.0
22.96 deg, d = 3.873 Å, I = 100.0
30.19 deg, d = 2.961 Å, I = 25.0
31.47 deg, d = 2.843 Å, I = 44.0
33.97 deg, d = 2.639 Å, I = 36.4
35.05 deg, d = 2.560 Å, I = 33.4
35.20 deg, d = 2.550 Å, I = 32.9
46.92 deg, d = 1.937 Å, I = 58.5
49.49 deg, d = 1.842 Å, I = 24.5

---

[8]
Calculated X-ray powder pattern of Cs2Tl3CdSn4 for a wavelength of 1.5418 Å, from a crystal structure in Alexandria, relaxed with GGA-PBE.

Structure:
a b c (Å): 5.305 5.305 12.486
angles (deg): 90.00 90.00 90.00
Atoms (fractional coordinates):
Cs 0.000 0.500 0.247
Cs 0.500 0.000 0.753
Tl 0.000 0.000 0.000
Tl 0.000 0.500 0.635
Tl 0.500 0.000 0.365
Cd 0.500 0.500 0.000
Sn 0.000 0.000 0.500
Sn 0.000 0.500 0.877
Sn 0.500 0.000 0.123
Sn 0.500 0.500 0.500

The 10 most intense peaks (15° ≤ 2θ ≤ 90°), low angle first:
27.23 deg, d = 3.275 Å, I = 62.5
27.74 deg, d = 3.216 Å, I = 100.0
33.79 deg, d = 2.653 Å, I = 85.8
37.48 deg, d = 2.400 Å, I = 52.9
39.90 deg, d = 2.260 Å, I = 31.2
43.93 deg, d = 2.061 Å, I = 34.6
48.53 deg, d = 1.876 Å, I = 31.3
53.25 deg, d = 1.720 Å, I = 27.2
56.82 deg, d = 1.620 Å, I = 27.1
62.89 deg, d = 1.478 Å, I = 24.1

---

[9]
Calculated X-ray powder pattern of Cs2Cd2Te3 for a wavelength of 1.5418 Å, from a crystal structure in Alexandria, relaxed with GGA-PBE.

Structure:
a b c (Å): 12.798 12.798 8.120
angles (deg): 108.12 108.12 83.44
Atoms (fractional coordinates):
Cs 0.065 0.935 0.750
Cs 0.210 0.790 0.250
Cs 0.306 0.483 0.430
Cs 0.483 0.306 0.930
Cs 0.517 0.694 0.070
Cs 0.694 0.517 0.570
Cs 0.790 0.210 0.750
Cs 0.935 0.065 0.250
Cd 0.033 0.579 0.741
Cd 0.151 0.302 0.801
Cd 0.302 0.151 0.301
Cd 0.421 0.967 0.759
Cd 0.579 0.033 0.241
Cd 0.698 0.849 0.699
Cd 0.849 0.698 0.199
Cd 0.967 0.421 0.259
Te 0.053 0.645 0.439
Te 0.100 0.244 0.087
Te 0.244 0.100 0.587
Te 0.251 0.514 0.921
Te 0.355 0.947 0.061
Te 0.486 0.749 0.579
Te 0.514 0.251 0.421
Te 0.645 0.053 0.939
Te 0.749 0.486 0.079
Te 0.756 0.900 0.413
Te 0.900 0.756 0.913
Te 0.947 0.355 0.561

The 10 most intense peaks (15° ≤ 2θ ≤ 90°), low angle first:
21.66 deg, d = 4.102 Å, I = 73.7
21.89 deg, d = 4.060 Å, I = 39.2
23.05 deg, d = 3.859 Å, I = 22.1
24.29 deg, d = 3.665 Å, I = 58.8
26.18 deg, d = 3.403 Å, I = 66.7
28.19 deg, d = 3.166 Å, I = 100.0
31.51 deg, d = 2.839 Å, I = 22.2
35.20 deg, d = 2.549 Å, I = 22.8
36.79 deg, d = 2.443 Å, I = 41.3
39.81 deg, d = 2.264 Å, I = 32.8

---

[10]
Calculated X-ray powder pattern of CsTlCdTe for a wavelength of 1.5418 Å, from a crystal structure in Alexandria, relaxed with GGA-PBE.

Structure:
a b c (Å): 4.684 5.956 12.552
angles (deg): 90.00 90.00 90.00
Atoms (fractional coordinates):
Cs 0.000 0.000 0.000
Cs 0.500 0.500 0.500
Tl 0.000 0.500 0.765
Tl 0.500 0.000 0.265
Cd 0.000 0.000 0.673
Cd 0.500 0.500 0.173
Te 0.000 0.000 0.430
Te 0.500 0.500 0.930

The 10 most intense peaks (15° ≤ 2θ ≤ 90°), low angle first:
16.47 deg, d = 5.381 Å, I = 38.1
20.23 deg, d = 4.389 Å, I = 58.7
26.03 deg, d = 3.424 Å, I = 39.7
28.10 deg, d = 3.176 Å, I = 100.0
28.61 deg, d = 3.121 Å, I = 54.5
30.00 deg, d = 2.978 Å, I = 59.0
37.66 deg, d = 2.388 Å, I = 42.0
38.43 deg, d = 2.342 Å, I = 30.3
41.93 deg, d = 2.154 Å, I = 38.7
49.51 deg, d = 1.841 Å, I = 29.2

---

[11]
Calculated X-ray powder pattern of Cs3Tl3Cd2 for a wavelength of 1.5418 Å, from a crystal structure in Alexandria, relaxed with GGA-PBE.

Structure:
a b c (Å): 7.594 7.594 19.273
angles (deg): 90.00 90.00 139.40
Atoms (fractional coordinates):
Cs 0.047 0.953 0.605
Cs 0.047 0.953 0.895
Cs 0.372 0.628 0.750
Cs 0.628 0.372 0.250
Cs 0.953 0.047 0.105
Cs 0.953 0.047 0.395
Tl 0.324 0.676 0.537
Tl 0.324 0.676 0.963
Tl 0.335 0.665 0.250
Tl 0.665 0.335 0.750
Tl 0.676 0.324 0.037
Tl 0.676 0.324 0.463
Cd 0.239 0.761 0.110
Cd 0.239 0.761 0.390
Cd 0.761 0.239 0.610
Cd 0.761 0.239 0.890

The 10 most intense peaks (15° ≤ 2θ ≤ 90°), low angle first:
25.25 deg, d = 3.527 Å, I = 100.0
25.68 deg, d = 3.470 Å, I = 32.6
25.82 deg, d = 3.450 Å, I = 82.3
28.66 deg, d = 3.115 Å, I = 51.6
31.23 deg, d = 2.864 Å, I = 32.1
31.43 deg, d = 2.846 Å, I = 32.7
34.03 deg, d = 2.634 Å, I = 53.0
37.38 deg, d = 2.406 Å, I = 45.8
45.07 deg, d = 2.011 Å, I = 30.2
50.11 deg, d = 1.820 Å, I = 37.6

---

[12]
Calculated X-ray powder pattern of CsTl3Cd2 for a wavelength of 1.5418 Å, from a crystal structure in Alexandria, relaxed with GGA-PBE.

Structure:
a b c (Å): 8.323 8.323 6.285
angles (deg): 90.00 90.00 73.87
Atoms (fractional coordinates):
Cs 0.160 0.840 0.750
Cs 0.840 0.160 0.250
Tl 0.045 0.597 0.250
Tl 0.403 0.955 0.250
Tl 0.441 0.559 0.250
Tl 0.559 0.441 0.750
Tl 0.597 0.045 0.750
Tl 0.955 0.403 0.750
Cd 0.288 0.288 0.000
Cd 0.288 0.288 0.500
Cd 0.712 0.712 0.000
Cd 0.712 0.712 0.500

The 10 most intense peaks (15° ≤ 2θ ≤ 90°), low angle first:
26.16 deg, d = 3.407 Å, I = 100.0
26.42 deg, d = 3.373 Å, I = 61.5
27.58 deg, d = 3.234 Å, I = 30.7
28.40 deg, d = 3.142 Å, I = 28.4
33.68 deg, d = 2.661 Å, I = 41.7
36.17 deg, d = 2.484 Å, I = 26.6
36.37 deg, d = 2.471 Å, I = 69.0
36.62 deg, d = 2.454 Å, I = 60.7
43.51 deg, d = 2.080 Å, I = 24.5
50.36 deg, d = 1.812 Å, I = 24.8